[1]
Calculated powder XRD pattern of ZnCd3Se4 for λ = 1.5418 Å (Cu Kα), from a GGA-PBE-relaxed structure.

Top 10 peaks for 10° ≤ 2θ ≤ 90°, sorted by position:
hkl, 2theta, d_spacing, Rel. int.
1 1 1, 25.4, 3.510, 100.0
2 0 0, 29.4, 3.040, 1.9
2 1 0, 32.9, 2.719, 2.5
2 1 1, 36.2, 2.482, 1.8
2 2 0, 42.0, 2.149, 74.1
3 1 1, 49.7, 1.833, 45.3
4 0 0, 61.0, 1.520, 11.6
3 3 1, 67.1, 1.395, 17.6
4 2 2, 76.8, 1.241, 23.0
5 1 1, 82.4, 1.170, 13.0

Structural model:
```
data_ZnCd3Se4
_cell_length_a 6.079
_cell_length_b 6.079
_cell_length_c 6.079
_cell_angle_alpha 90.00
_cell_angle_beta 90.00
_cell_angle_gamma 90.00
_symmetry_space_group_name_H-M 'P -4 3 m'
_symmetry_Int_Tables_number 215
_symmetry_space_group_name_Hall 'P -4 2 3'
loop_
_atom_site_label
_atom_site_fract_x
_atom_site_fract_y
_atom_site_fract_z
_atom_site_occupancy
Zn1 0.000 0.000 0.000 1
Cd1 0.000 0.500 0.500 1
Se1 0.238 0.238 0.238 1
```



[2]
Calculated powder XRD pattern of Cd5Si3 for λ = 1.5418 Å (Cu Kα), from a GGA-PBE-relaxed structure.

Top 10 peaks for 10° ≤ 2θ ≤ 90°, sorted by position:
hkl, 2theta, d_spacing, Rel. int.
2 1 1, 24.4, 3.649, 36.6
3 1 0, 25.6, 3.481, 24.0
4 0 0, 32.5, 2.752, 24.5
0 0 2, 33.0, 2.717, 24.6
3 2 1, 33.7, 2.662, 66.3
4 2 0, 36.5, 2.462, 58.8
2 0 2, 36.9, 2.437, 33.9
4 1 1, 37.5, 2.396, 100.0
2 2 2, 40.5, 2.228, 62.0
5 5 0, 59.3, 1.557, 28.2

Structural model:
```
data_Cd5Si3
_cell_length_a 11.009
_cell_length_b 11.009
_cell_length_c 5.435
_cell_angle_alpha 90.00
_cell_angle_beta 90.00
_cell_angle_gamma 90.00
_symmetry_space_group_name_H-M 'I 4/m c m'
_symmetry_Int_Tables_number 140
_symmetry_space_group_name_Hall '-I 4 2c'
loop_
_atom_site_label
_atom_site_fract_x
_atom_site_fract_y
_atom_site_fract_z
_atom_site_occupancy
Cd1 0.000 0.500 0.250 1
Cd2 0.073 0.228 0.000 1
Si1 0.000 0.000 0.250 1
Si2 0.172 0.328 0.500 1
```



[3]
Calculated powder XRD pattern of Tb2SmCd4Si4 for λ = 1.5418 Å (Cu Kα), from a GGA-PBE-relaxed structure.

Top 10 peaks for 10° ≤ 2θ ≤ 90°, sorted by position:
hkl, 2theta, d_spacing, Rel. int.
0 1 3, 22.9, 3.882, 15.6
0 0 8, 26.8, 3.321, 13.1
1 0 7, 32.1, 2.793, 31.8
1 1 4, 32.9, 2.721, 100.0
0 2 0, 41.8, 2.159, 19.1
0 1 11, 42.9, 2.108, 21.1
2 0 0, 43.9, 2.062, 16.6
1 2 7, 53.7, 1.708, 14.6
2 2 0, 62.3, 1.491, 11.5
2 1 11, 63.1, 1.474, 14.6

Structural model:
```
data_Tb2SmCd4Si4
_cell_length_a 4.123
_cell_length_b 4.319
_cell_length_c 26.569
_cell_angle_alpha 90.00
_cell_angle_beta 90.00
_cell_angle_gamma 90.00
_symmetry_space_group_name_H-M 'I m m m'
_symmetry_Int_Tables_number 71
_symmetry_space_group_name_Hall '-I 2 2'
loop_
_atom_site_label
_atom_site_fract_x
_atom_site_fract_y
_atom_site_fract_z
_atom_site_occupancy
Tb1 0.000 0.000 0.142 1
Sm1 0.000 0.500 0.000 1
Cd1 0.000 0.000 0.408 1
Cd2 0.000 0.500 0.251 1
Si1 0.000 0.000 0.315 1
Si2 0.000 0.500 0.456 1
```



Which formula does entry 1 have?
ZnCd3Se4